Record 1
Structure and simulated X-ray powder pattern of Y2HAu (a crystal structure in Alexandria, relaxed with GGA-PBE; copper Kα).
No peak broadening, texture or thermal motion is included.

Crystal structure
Cell lengths 3.7535, 6.8320, 7.3091 Å; angles 111.26, 104.81, 90.10 degrees
Space group P-1 (No. 2)
Unique sites:
Y 0.0176 0.2724 0.0350
Y 0.2953 0.2813 0.5916
H 0.1130 0.6130 0.2251
Au 0.3784 0.9180 0.7562

Largest 10 diffraction maxima, by angle, 10 to 90 degrees two-theta:
(0 1 0), 2θ = 14.0°, rel. 77; (0 2 -1), 2θ = 26.3°, rel. 29; (1 1 0), 2θ = 29.7°, rel. 36; (0 2 -2), 2θ = 31.1°, rel. 38; (1 0 -2), 2θ = 31.4°, rel. 100; (0 1 2), 2θ = 35.3°, rel. 45; (1 -2 0), 2θ = 35.7°, rel. 73; (1 2 -2), 2θ = 36.9°, rel. 28; (1 1 1), 2θ = 37.7°, rel. 28; (1 -1 2), 2θ = 40.0°, rel. 44



Record 2
Structure and simulated X-ray powder pattern of CuMo2Pd8 (a crystal structure in Alexandria, relaxed with GGA-PBE; copper Kα).
No peak broadening, texture or thermal motion is included.

Crystal structure
Cell lengths 14.2308, 3.9083, 6.2013 Å; angles 90.00, 104.81, 90.00 degrees
Space group C2/m (No. 12)
Unique sites:
Cu 0.0000 0.0000 0.0000
Mo 0.2288 0.5000 0.6288
Pd 0.0463 0.5000 0.7317
Pd 0.0931 0.0000 0.4546
Pd 0.1385 0.5000 0.1855
Pd 0.1813 0.0000 0.9130

Largest 10 diffraction maxima, by angle, 10 to 90 degrees two-theta:
(1 1 2), 2θ = 39.7°, rel. 100; (6 0 1), 2θ = 45.8°, rel. 16; (4 0 -3), 2θ = 46.3°, rel. 16; (0 2 0), 2θ = 46.5°, rel. 16; (2 0 4), 2θ = 67.2°, rel. 10; (6 2 1), 2θ = 67.3°, rel. 10; (11 1 0), 2θ = 80.7°, rel. 12; (9 1 -4), 2θ = 81.4°, rel. 12; (1 3 2), 2θ = 81.6°, rel. 12; (2 2 4), 2θ = 85.7°, rel. 10



Record 3
Structure and simulated X-ray powder pattern of Th4AlTc4 (a crystal structure in Alexandria, relaxed with GGA-PBE; copper Kα).
No peak broadening, texture or thermal motion is included.

Crystal structure
Cell lengths 8.3149, 5.2788, 11.4472 Å; angles 90.00, 124.01, 90.00 degrees
Space group P2/c (No. 13)
Unique sites:
Th 0.1805 0.1138 0.1856
Th 0.2674 0.3714 0.9276
Al 0.5000 0.3446 0.7500
Tc 0.1343 0.3788 0.6091
Tc 0.3456 0.1150 0.4988

Largest 10 diffraction maxima, by angle, 10 to 90 degrees two-theta:
(2 0 0), 2θ = 25.9°, rel. 100; (2 1 -3), 2θ = 30.6°, rel. 41; (1 0 -4), 2θ = 32.3°, rel. 99; (3 0 -2), 2θ = 32.4°, rel. 80; (1 1 2), 2θ = 33.0°, rel. 98; (0 2 1), 2θ = 35.3°, rel. 83; (3 0 -4), 2θ = 36.1°, rel. 52; (2 2 -1), 2θ = 40.8°, rel. 98; (1 2 -3), 2θ = 41.7°, rel. 58; (3 2 -5), 2θ = 54.6°, rel. 40